1.
CdInAu2: simulated PXRD pattern (Cu Kα X-rays), based on a structure optimized by DFT (GGA-PBE).

Cell and atoms:
```
12
Lattice="3.446 0.000 0.000 -1.723 2.984 0.000 0.000 0.000 25.175" Properties=species:S:1:pos:R:3 pbc="T T T"
Cd 0.000 0.000 0.000
Cd 0.000 1.990 16.783
Cd 1.723 0.995 8.392
In 0.000 0.000 12.587
In 0.000 1.990 4.196
In 1.723 0.995 20.979
Au 0.000 0.000 6.284
Au 0.000 0.000 18.891
Au 0.000 1.990 10.500
Au 0.000 1.990 23.067
Au 1.723 0.995 2.108
Au 1.723 0.995 14.675
```

Principal peaks in the range 10 to 90 degrees two-theta, low angle first:
d = 2.904 Å, 2θ = 30.79°, rel. 8
d = 2.697 Å, 2θ = 33.22°, rel. 100
d = 2.165 Å, 2θ = 41.71°, rel. 54
d = 2.098 Å, 2θ = 43.12°, rel. 16
d = 1.723 Å, 2θ = 53.16°, rel. 26
d = 1.452 Å, 2θ = 64.14°, rel. 15
d = 1.392 Å, 2θ = 67.27°, rel. 13
d = 1.348 Å, 2θ = 69.75°, rel. 12
d = 1.331 Å, 2θ = 70.76°, rel. 22
d = 1.110 Å, 2θ = 87.95°, rel. 13

2.
Cd9In3Au2: simulated PXRD pattern (Cu Kα X-rays), based on a structure optimized by DFT (GGA-PBE).

Cell and atoms:
```
14
Lattice="-2.246 5.868 6.288 2.246 -5.868 6.288 2.246 5.868 -6.288" Properties=species:S:1:pos:R:3 pbc="T T T"
Cd 0.000 0.000 0.000
Cd 2.246 -3.407 4.443
Cd 2.246 4.392 -1.645
Cd 0.000 2.461 1.845
Cd 0.000 1.476 4.643
Cd 2.246 4.392 1.645
Cd 2.246 3.407 4.443
Cd 0.000 1.476 7.933
Cd 0.000 9.275 1.845
In 2.246 0.000 2.563
In 0.000 5.868 0.000
In 0.000 5.868 3.726
Au 2.246 1.899 0.000
Au 0.000 3.969 6.288
```

Principal peaks in the range 10 to 90 degrees two-theta, low angle first:
d = 2.950 Å, 2θ = 30.30°, rel. 16
d = 2.860 Å, 2θ = 31.27°, rel. 18
d = 2.717 Å, 2θ = 32.97°, rel. 100
d = 2.671 Å, 2θ = 33.55°, rel. 50
d = 2.516 Å, 2θ = 35.69°, rel. 46
d = 2.411 Å, 2θ = 37.30°, rel. 58
d = 2.307 Å, 2θ = 39.04°, rel. 16
d = 2.246 Å, 2θ = 40.15°, rel. 50
d = 2.151 Å, 2θ = 42.00°, rel. 45
d = 1.450 Å, 2θ = 64.23°, rel. 26

3.
Cd2In4Au9: simulated PXRD pattern (Cu Kα X-rays), based on a structure optimized by DFT (GGA-PBE).

Cell and atoms:
```
15
Lattice="4.668 0.000 0.000 -2.334 4.043 0.000 0.000 0.000 17.301" Properties=species:S:1:pos:R:3 pbc="T T T"
Cd 0.000 2.695 4.181
Cd 2.334 1.348 13.120
In 0.000 2.695 9.845
In 0.000 2.695 15.276
In 2.334 1.348 2.025
In 2.334 1.348 7.455
Au 0.000 0.000 0.000
Au 0.000 0.000 3.039
Au 0.000 0.000 5.835
Au 0.000 0.000 11.466
Au 0.000 0.000 14.262
Au 0.000 2.695 1.046
Au 0.000 2.695 6.976
Au 2.334 1.348 10.325
Au 2.334 1.348 16.255
```

Principal peaks in the range 10 to 90 degrees two-theta, low angle first:
d = 3.937 Å, 2θ = 22.59°, rel. 15
d = 3.663 Å, 2θ = 24.30°, rel. 19
d = 2.629 Å, 2θ = 34.11°, rel. 13
d = 2.348 Å, 2θ = 38.34°, rel. 96
d = 2.334 Å, 2θ = 38.57°, rel. 100
d = 1.655 Å, 2θ = 55.52°, rel. 33
d = 1.358 Å, 2θ = 69.18°, rel. 10
d = 1.350 Å, 2θ = 69.63°, rel. 33
d = 1.348 Å, 2θ = 69.79°, rel. 18
d = 1.167 Å, 2θ = 82.68°, rel. 11